[1]
Structure and simulated powder diffraction line list of LiLa4Ti3O12 (the PBE geometry in the Materials Project; Cu Kα (λ = 1.5418 Å)).

Structure:
```
LiLa4Ti3O12
1.0
5.5864 0.0000 0.0000
-0.0270 5.6291 0.0000
-0.0053 -0.0246 7.9129
Li La Ti O
1 4 3 12
Cartesian
0.0000 0.0000 0.0000 Li
0.0442 2.5463 1.8794 La
2.7410 5.4383 1.8884 La
2.8132 0.1661 6.0245 La
5.5100 3.0581 6.0335 La
-0.0026 -0.0123 3.9565 Ti
2.7797 2.8145 0.0000 Ti
2.7771 2.8022 3.9565 Ti
0.4260 5.5004 5.8351 O
1.1867 4.0010 3.6102 O
1.2135 3.9310 0.3233 O
1.5865 1.2136 3.6135 O
1.6722 1.2273 0.3213 O
2.3409 2.7146 5.9247 O
3.2132 2.8898 1.9882 O
3.8820 4.3772 7.5917 O
3.9676 4.3909 4.2994 O
4.3407 1.6734 7.5896 O
4.3675 1.6034 4.3027 O
5.1281 0.1040 2.0778 O
```

Largest 10 diffraction maxima, by angle, 2θ = 5–70°:
2θ = 22.37°, d = 3.975 Å, I 17; 2θ = 22.47°, d = 3.956 Å, I 37; 2θ = 31.84°, d = 2.810 Å, I 50; 2θ = 31.99°, d = 2.797 Å, I 100; 2θ = 39.49°, d = 2.282 Å, I 21; 2θ = 45.65°, d = 1.987 Å, I 14; 2θ = 45.88°, d = 1.978 Å, I 30; 2θ = 56.77°, d = 1.622 Å, I 13; 2θ = 56.96°, d = 1.617 Å, I 12; 2θ = 57.03°, d = 1.615 Å, I 16

[2]
Structure and simulated powder diffraction line list of LiLa5Ti8O24 (the PBE geometry in the Materials Project; Cu Kα (λ = 1.5418 Å)).

Structure:
```
LiLa5Ti8O24
1.0
7.8250 0.0000 0.0000
0.0000 7.7948 0.0000
-0.0333 0.0000 7.8764
Li La Ti O
1 5 8 24
Cartesian
0.0000 0.0000 0.0000 Li
1.9169 3.8974 7.7690 La
1.9409 0.0000 3.8550 La
2.1201 3.8974 3.8373 La
5.7871 3.8974 7.8015 La
5.8477 0.0000 3.9562 La
3.9252 1.9040 5.8780 Ti
3.9252 5.8908 5.8780 Ti
3.9506 1.9144 1.8588 Ti
3.9506 5.8804 1.8588 Ti
7.7890 1.9598 1.9352 Ti
7.7665 1.9547 5.8502 Ti
7.7890 5.8349 1.9352 Ti
7.7665 5.8401 5.8502 Ti
0.0172 2.0397 0.0238 O
0.0172 5.7551 0.0238 O
0.1327 0.0000 5.9357 O
0.2393 3.8974 2.0022 O
1.8312 2.2782 5.7795 O
1.8312 5.5165 5.7795 O
1.8714 1.7992 2.1594 O
1.8714 5.9956 2.1594 O
3.5465 3.8974 1.9023 O
3.6020 0.0000 5.6914 O
3.7589 2.0789 0.0024 O
3.7589 5.7159 0.0024 O
3.8006 1.9850 3.9559 O
3.8006 5.8097 3.9559 O
3.9652 3.8974 6.0272 O
4.0375 0.0000 2.2214 O
5.7707 1.7311 5.9502 O
5.7909 2.1860 1.8715 O
5.7909 5.6088 1.8715 O
5.7707 6.0637 5.9502 O
7.5128 3.8974 6.0370 O
7.5641 0.0000 1.9733 O
7.6855 1.7592 3.9551 O
7.6855 6.0356 3.9551 O
```

Largest 10 diffraction maxima, by angle, 2θ = 5–70°:
2θ = 15.99°, d = 5.542 Å, I 89; 2θ = 27.87°, d = 3.201 Å, I 23; 2θ = 32.18°, d = 2.781 Å, I 33; 2θ = 32.32°, d = 2.770 Å, I 100; 2θ = 32.42°, d = 2.761 Å, I 68; 2θ = 46.10°, d = 1.969 Å, I 28; 2θ = 46.42°, d = 1.956 Å, I 26; 2θ = 46.61°, d = 1.949 Å, I 27; 2θ = 57.59°, d = 1.601 Å, I 27; 2θ = 57.80°, d = 1.595 Å, I 40

[3]
Structure and simulated powder diffraction line list of Li3La5Ti8O24 (the PBE geometry in the Materials Project; Cu Kα (λ = 1.5418 Å)).

Structure:
```
Li3La5Ti8O24
1.0
7.8216 -3.9120 0.0000
7.8216 3.9120 0.0000
-3.9099 0.0000 7.8457
Li La Ti O
3 5 8 24
Cartesian
0.0000 0.0000 0.0000 Li
0.0014 0.0000 7.8445 Li
11.7319 0.0000 0.0012 Li
0.0064 0.0000 3.9205 La
3.9175 0.0000 3.9070 La
7.8216 0.0000 0.0000 La
7.8159 0.0000 3.9387 La
11.7270 0.0000 3.9252 La
1.9375 1.9756 5.9325 Ti
5.8482 1.9765 1.9126 Ti
5.8851 1.9765 5.9331 Ti
9.7959 1.9756 1.9132 Ti
1.9375 -1.9756 5.9325 Ti
5.8482 -1.9765 1.9126 Ti
5.8851 -1.9765 5.9331 Ti
9.7959 -1.9756 1.9132 Ti
1.9559 1.9560 3.9228 O
-1.9643 0.0000 5.7571 O
3.9113 1.9607 2.0767 O
5.9198 1.9034 0.0002 O
1.9487 0.0000 2.0809 O
3.9114 1.9112 5.8078 O
5.8667 1.9460 3.9228 O
2.0018 0.0000 5.8033 O
7.8220 1.9112 2.0379 O
5.8136 1.9034 7.8455 O
7.8221 1.9607 5.7690 O
5.9106 0.0000 2.0358 O
1.9559 -1.9560 3.9228 O
5.8227 0.0000 5.8099 O
3.9113 -1.9607 2.0767 O
5.9198 -1.9034 0.0002 O
3.9114 -1.9112 5.8078 O
9.7316 0.0000 2.0424 O
5.8667 -1.9460 3.9228 O
7.8220 -1.9112 2.0379 O
9.7846 0.0000 5.7648 O
5.8136 -1.9034 7.8455 O
7.8221 -1.9607 5.7690 O
13.6977 0.0000 2.0886 O
```

Largest 10 diffraction maxima, by angle, 2θ = 5–70°:
2θ = 11.28°, d = 7.846 Å, I 36; 2θ = 25.45°, d = 3.501 Å, I 23; 2θ = 32.34°, d = 2.768 Å, I 100; 2θ = 34.36°, d = 2.610 Å, I 10; 2θ = 39.88°, d = 2.260 Å, I 21; 2θ = 46.29°, d = 1.961 Å, I 14; 2θ = 46.43°, d = 1.956 Å, I 28; 2θ = 47.90°, d = 1.899 Å, I 10; 2θ = 57.67°, d = 1.599 Å, I 32; 2θ = 67.65°, d = 1.385 Å, I 15

[4]
Structure and simulated powder diffraction line list of LiLa2Os (the PBE geometry in the Materials Project; Cu Kα (λ = 1.5418 Å)).

Structure:
```
LiLa2Os
1.0
0.0000 3.6357 3.6357
3.6357 0.0000 3.6357
3.6357 3.6357 0.0000
Li La Os
1 2 1
Cartesian
0.0000 0.0000 0.0000 Li
1.8178 1.8178 1.8178 La
5.4535 5.4535 5.4535 La
3.6357 3.6357 3.6357 Os
```

Largest 10 diffraction maxima, by angle, 2θ = 5–70°:
2θ = 21.16°, d = 4.198 Å, I 35; 2θ = 24.48°, d = 3.636 Å, I 4; 2θ = 34.90°, d = 2.571 Å, I 100; 2θ = 41.17°, d = 2.192 Å, I 19; 2θ = 43.09°, d = 2.099 Å, I 1; 2θ = 50.19°, d = 1.818 Å, I 18; 2θ = 55.05°, d = 1.668 Å, I 8; 2θ = 56.61°, d = 1.626 Å, I 1; 2θ = 62.58°, d = 1.484 Å, I 37; 2θ = 66.86°, d = 1.399 Å, I 6

[5]
Structure and simulated powder diffraction line list of LiLa2Ru (the PBE geometry in the Materials Project; Cu Kα (λ = 1.5418 Å)).

Structure:
```
LiLa2Ru
1.0
0.0000 3.6467 3.6467
3.6467 0.0000 3.6467
3.6467 3.6467 0.0000
Li La Ru
1 2 1
Cartesian
0.0000 0.0000 0.0000 Li
1.8233 1.8233 1.8233 La
5.4700 5.4700 5.4700 La
3.6467 3.6467 3.6467 Ru
```

Largest 10 diffraction maxima, by angle, 2θ = 5–70°:
2θ = 21.10°, d = 4.211 Å, I 16; 2θ = 24.41°, d = 3.647 Å, I 23; 2θ = 34.79°, d = 2.579 Å, I 100; 2θ = 41.04°, d = 2.199 Å, I 8; 2θ = 42.96°, d = 2.105 Å, I 7; 2θ = 50.02°, d = 1.823 Å, I 18; 2θ = 54.87°, d = 1.673 Å, I 3; 2θ = 56.42°, d = 1.631 Å, I 9; 2θ = 62.37°, d = 1.489 Å, I 36; 2θ = 66.63°, d = 1.404 Å, I 3